For Tb2PrO, a structure optimized by DFT (GGA-PBE) gives the calculated PXRD pattern in this record (Cu Ka).

Structure:
```
Tb2PrO
1.0
3.5164 0.0000 0.0000
-1.7582 3.0453 0.0000
0.0000 0.0000 28.5119
Tb Pr O
6 3 3
direct
0.0000 0.0000 0.1205
0.0000 0.0000 0.8795
0.3333 0.6667 0.5462
0.3333 0.6667 0.7871
0.6667 0.3333 0.2129
0.6667 0.3333 0.4538
0.0000 0.0000 0.0000
0.3333 0.6667 0.6667
0.6667 0.3333 0.3333
0.0000 0.0000 0.5000
0.3333 0.6667 0.1667
0.6667 0.3333 0.8333
```

Principal peaks in the range 2θ from 15° to 90°, most intense first:
2theta	I_rel
29.50	100
38.90	83
60.18	55
28.17	47
36.85	40
52.01	37